Structure and theoretical powder diffraction line list of Mo2Pb2Br2O5 (DFT lattice parameters and positions (PBE+U); λ = 1.5418 Å (Cu Kα)).

Peak list (6 most intense, 10 to 80 degrees two-theta, by angle)
13.57°, I 74, (0 0 4); 23.85°, I 38, (1 0 3); 30.61°, I 66, (1 1 0); 32.35°, I 100, (1 0 7); 43.84°, I 34, (2 0 0); 55.53°, I 44, (2 1 7)

Structure:
Cell: 4.130 4.130 26.094 Å, 90.00 90.00 90.00°
Space group I4/mmm (No. 139)
Asymmetric unit:
Mo  0.000  0.000  0.072 [4 per cell]
Pb  0.000  0.000  0.356 [4 per cell]
Br  0.000  0.000  0.191 [4 per cell]
O  0.000  0.000  0.000 [2 per cell]
O  0.000  0.500  0.088 [8 per cell]